# 1
Structure and computed powder diffraction line list of HoAlNi4 (a cell relaxed with GGA-PBE; Cu Kα, 1.54184 Å).
Lines closer than 0.1° are merged.

Peak list (10 most intense, 2θ = 10–90°, by angle)
22.0°, I 23; 30.4°, I 35; 30.8°, I 44; 37.1°, I 47; 42.2°, I 30; 42.5°, I 71; 43.5°, I 100; 44.9°, I 39; 59.6°, I 23; 63.3°, I 22

Atomic structure:
```
HoAlNi4
1.0
2.5008 -4.1610 0.0000
2.5008 4.1610 0.0000
0.0000 0.0000 4.0399
Ho Al Ni
1 1 4
Direct
0.0000 0.0000 0.0000
0.5000 0.5000 0.5000
0.0000 0.5000 0.5000
0.3337 0.6663 0.0000
0.5000 0.0000 0.5000
0.6663 0.3337 0.0000
```

=====

# 2
Structure and computed powder diffraction line list of Zr3Sn (a cell relaxed with GGA-PBE; Cu Kα, 1.54184 Å).
Lines closer than 0.1° are merged.

Peak list (10 most intense, 2θ = 10–90°, by angle)
32.7°, I 24; 34.4°, I 27; 37.1°, I 100; 48.2°, I 16; 58.4°, I 18; 63.4°, I 20; 69.6°, I 21; 71.2°, I 14; 79.0°, I 4; 81.9°, I 3

Atomic structure:
```
Zr3Sn
1.0
6.3218 0.0000 0.0000
-3.1609 5.4748 0.0000
0.0000 0.0000 5.2119
Zr Sn
6 2
Direct
0.1676 0.3353 0.2500
0.1676 0.8324 0.2500
0.3353 0.1676 0.7500
0.6647 0.8324 0.2500
0.8324 0.1676 0.7500
0.8324 0.6647 0.7500
0.3333 0.6667 0.7500
0.6667 0.3333 0.2500
```

=====

# 3
Structure and computed powder diffraction line list of Ba3Tb (a cell relaxed with GGA-PBE; Cu Kα, 1.54184 Å).
Lines closer than 0.1° are merged.

Peak list (10 most intense, 2θ = 10–90°, by angle)
26.1°, I 100; 30.0°, I 17; 30.3°, I 34; 43.2°, I 26; 43.4°, I 13; 50.9°, I 16; 51.3°, I 31; 53.7°, I 14; 69.1°, I 13; 79.5°, I 9

Atomic structure:
```
Ba3Tb
1.0
-2.9484 2.9484 5.9561
2.9484 -2.9484 5.9561
2.9484 2.9484 -5.9561
Ba Tb
3 1
Direct
0.0000 0.0000 0.0000
0.2500 0.7500 0.5000
0.7500 0.2500 0.5000
0.5000 0.5000 0.0000
```

=====

# 4
Structure and computed powder diffraction line list of CoPt3 (a cell relaxed with GGA-PBE; Cu Kα, 1.54184 Å).
Lines closer than 0.1° are merged.

Peak list (10 most intense, 2θ = 10–90°, by angle)
22.9°, I 13; 32.6°, I 11; 40.2°, I 100; 46.7°, I 49; 52.6°, I 6; 58.1°, I 5; 68.2°, I 32; 73.0°, I 3; 82.2°, I 38; 86.7°, I 11

Atomic structure:
```
CoPt3
1.0
3.8898 0.0000 0.0000
0.0000 3.8898 0.0000
0.0000 0.0000 3.8898
Co Pt
1 3
Direct
0.0000 0.0000 0.0000
0.0000 0.5000 0.5000
0.5000 0.0000 0.5000
0.5000 0.5000 0.0000
```

=====

# 5
Structure and computed powder diffraction line list of Y6Mn11S20 (a cell relaxed with GGA-PBE; Cu Kα, 1.54184 Å).
Lines closer than 0.1° are merged.

Peak list (10 most intense, 2θ = 10–90°, by angle)
19.9°, I 12; 23.1°, I 14; 24.6°, I 18; 27.7°, I 16; 32.6°, I 91; 36.2°, I 19; 38.5°, I 35; 39.2°, I 100; 40.8°, I 31; 62.6°, I 23

Atomic structure:
```
Y6Mn11S20
1.0
3.8562 -2.7433 0.0000
3.8562 2.7433 0.0000
-3.3263 0.0000 34.4917
Y Mn S
6 11 20
Direct
0.1219 0.1219 0.2106
0.1668 0.1668 0.0444
0.2153 0.2153 0.8805
0.7847 0.7847 0.1195
0.8332 0.8332 0.9556
0.8781 0.8781 0.7894
0.0000 0.0000 0.5000
0.0494 0.0494 0.3602
0.2411 0.2411 0.7305
0.3020 0.3020 0.5928
0.3483 0.3483 0.4532
0.3979 0.3979 0.3137
0.6021 0.6021 0.6863
0.6517 0.6517 0.5468
0.6980 0.6980 0.4072
0.7589 0.7589 0.2695
0.9506 0.9506 0.6398
0.0228 0.0228 0.4302
0.0803 0.0803 0.2905
0.1413 0.1413 0.1325
0.1920 0.1920 0.9675
0.2366 0.2366 0.8038
0.2773 0.2773 0.6617
0.3257 0.3257 0.5231
0.3737 0.3737 0.3836
0.4490 0.4490 0.2462
0.4738 0.4738 0.0826
0.5262 0.5262 0.9174
0.5510 0.5510 0.7538
0.6263 0.6263 0.6164
0.6743 0.6743 0.4769
0.7227 0.7227 0.3383
0.7634 0.7634 0.1962
0.8081 0.8081 0.0325
0.8587 0.8587 0.8675
0.9197 0.9197 0.7095
0.9772 0.9772 0.5698
```

=====

# 6
Structure and computed powder diffraction line list of Zn3P2O8 (a cell relaxed with GGA-PBE; Cu Kα, 1.54184 Å).
Lines closer than 0.1° are merged.

Peak list (10 most intense, 2θ = 10–90°, by angle)
20.3°, I 44; 22.4°, I 54; 28.7°, I 96; 29.8°, I 41; 33.7°, I 57; 34.5°, I 100; 36.0°, I 84; 38.3°, I 39; 42.1°, I 49; 61.5°, I 40

Atomic structure:
```
Zn3P2O8
1.0
4.9906 0.0000 0.0000
0.0000 9.1405 0.0000
-4.9058 0.0000 6.6262
Zn P O
6 4 16
Direct
0.0000 0.0000 0.0000
0.0000 0.5000 0.5000
0.1957 0.1289 0.6658
0.1957 0.3711 0.1658
0.8043 0.6289 0.8342
0.8043 0.8711 0.3342
0.3151 0.6880 0.3308
0.3151 0.8120 0.8308
0.6849 0.1880 0.1692
0.6849 0.3120 0.6692
0.0432 0.6820 0.3699
0.0432 0.8180 0.8699
0.1957 0.5889 0.1473
0.1957 0.9111 0.6473
0.3463 0.1286 0.9810
0.3463 0.3714 0.4810
0.3613 0.6520 0.7886
0.3613 0.8480 0.2886
0.6387 0.1520 0.7114
0.6387 0.3480 0.2114
0.6537 0.6286 0.5190
0.6537 0.8714 0.0190
0.8043 0.0889 0.3527
0.8043 0.4111 0.8527
0.9568 0.1820 0.1301
0.9568 0.3180 0.6301
```

=====

# 7
Structure and computed powder diffraction line list of Y3InS6 (a cell relaxed with GGA-PBE; Cu Kα, 1.54184 Å).
Lines closer than 0.1° are merged.

Peak list (10 most intense, 2θ = 10–90°, by angle)
25.2°, I 100; 26.2°, I 60; 26.5°, I 32; 27.1°, I 40; 32.3°, I 69; 34.6°, I 55; 35.6°, I 52; 41.2°, I 30; 42.3°, I 35; 46.9°, I 38

Atomic structure:
```
Y3InS6
1.0
13.4484 0.0000 0.0000
0.0000 16.6066 0.0000
0.0000 0.0000 3.8775
Y In S
12 4 24
Direct
0.0361 0.2234 0.2460
0.1906 0.6436 0.2472
0.2468 0.3894 0.2364
0.2532 0.8894 0.7636
0.3094 0.1436 0.7528
0.4639 0.7234 0.7540
0.5361 0.2766 0.7540
0.6906 0.8564 0.7528
0.7468 0.1106 0.7636
0.7532 0.6106 0.2364
0.8094 0.3564 0.2472
0.9639 0.7766 0.2460
0.0000 0.0000 0.8916
0.0000 0.5000 0.7468
0.5000 0.0000 0.2532
0.5000 0.5000 0.1084
0.0207 0.3945 0.2464
0.1030 0.9069 0.2682
0.1077 0.1152 0.7484
0.1155 0.7439 0.7486
0.1789 0.2828 0.7409
0.1926 0.5193 0.7461
0.3074 0.0193 0.2539
0.3211 0.7828 0.2591
0.3845 0.2439 0.2514
0.3923 0.6152 0.2516
0.3970 0.4069 0.7318
0.4793 0.8945 0.7536
0.5207 0.1055 0.7536
0.6030 0.5931 0.7318
0.6077 0.3848 0.2516
0.6155 0.7561 0.2514
0.6789 0.2172 0.2591
0.6926 0.9807 0.2539
0.8074 0.4807 0.7461
0.8211 0.7172 0.7409
0.8845 0.2561 0.7486
0.8923 0.8848 0.7484
0.8970 0.0931 0.2682
0.9793 0.6055 0.2464
```